Theoretical powder diffractogram
Compound: PbAuBr4
Radiation: Cu Kα (weighted mean of Kα1 and Kα2)
Structure: DFT lattice parameters and positions (PBE)
Neutral-atom scattering factors, no anomalous dispersion.

a = 8.446 Å, b = 6.761 Å, c = 8.433 Å
α = 90.00°, β = 118.48°, γ = 90.00°
Space group P2_1/c (No. 14)
Inequivalent atoms, fractional coordinates:
Pb1 0.000 0.000 0.000
Au1 0.500 0.000 0.000
Br1 0.186 0.199 0.802
Br2 0.339 0.741 0.601

Peak list (6 most intense, 2θ from 10° to 80°, by angle)
hkl	2θ/deg	d/Å	I (rel.)
0 1 1	17.76	4.995	100.0
2 1 -1	24.87	3.580	40.6
2 1 0	27.43	3.252	26.6
2 2 0	35.94	2.499	52.2
2 2 -2	36.33	2.473	28.9
2 0 2	41.87	2.157	22.7

***

Theoretical powder diffractogram
Compound: Dy3Ho3Th
Radiation: Cu Kα (weighted mean of Kα1 and Kα2)
Structure: DFT lattice parameters and positions (PBE)
Neutral-atom scattering factors, no anomalous dispersion.

a = 8.834 Å, b = 9.690 Å, c = 10.529 Å
α = 90.00°, β = 91.16°, γ = 90.00°
Space group C2/m (No. 12)
Inequivalent atoms, fractional coordinates:
Dy1 0.028 0.000 0.253
Dy2 0.194 0.322 0.247
Ho1 0.000 0.183 0.000
Ho2 0.000 0.190 0.500
Ho3 0.177 0.500 0.562
Th1 0.166 0.500 0.919

Peak list (6 most intense, 2θ from 10° to 80°, by angle)
hkl	2θ/deg	d/Å	I (rel.)
1 1 -3	28.71	3.109	59.3
3 1 0	31.77	2.817	100.0
2 2 -2	32.05	2.793	90.4
2 2 2	32.50	2.755	53.0
0 0 4	34.03	2.634	87.4
1 3 2	34.22	2.620	78.3

***

Theoretical powder diffractogram
Compound: KH4
Radiation: Cu Kα (weighted mean of Kα1 and Kα2)
Structure: DFT lattice parameters and positions (PBE)
Neutral-atom scattering factors, no anomalous dispersion.

a = 4.677 Å, b = 4.727 Å, c = 8.094 Å
α = 73.74°, β = 73.55°, γ = 60.40°
Space group P-1 (No. 2)
Inequivalent atoms, fractional coordinates:
K1 0.166 0.330 0.250
H1 0.150 0.992 0.801
H2 0.186 0.022 0.695
H3 0.481 0.653 0.300
H4 0.489 0.311 0.806

Peak list (6 most intense, 2θ from 10° to 80°, by angle)
hkl	2θ/deg	d/Å	I (rel.)
0 1 1	23.05	3.859	23.3
0 0 2	23.21	3.833	100.0
0 1 -1	26.57	3.355	16.4
1 0 -1	26.86	3.320	15.6
1 1 2	27.00	3.302	20.7
2 1 1	38.44	2.342	19.9

***

Theoretical powder diffractogram
Compound: CsIn4Hg6
Radiation: Cu Kα (weighted mean of Kα1 and Kα2)
Structure: DFT lattice parameters and positions (PBE)
Neutral-atom scattering factors, no anomalous dispersion.

a = 8.5655 Å, b = 8.5655 Å, c = 5.1374 Å
α = 90.00°, β = 90.00°, γ = 120.00°
Space group P-6 (No. 174)
Inequivalent atoms, fractional coordinates:
Cs1 0.0000 0.0000 0.0000
In1 0.2045 0.7893 0.5000
In2 0.6667 0.3333 0.0000
Hg1 0.0747 0.5343 0.0000
Hg2 0.3989 0.1969 0.5000

Peak list (6 most intense, 2θ from 10° to 80°, by angle)
hkl	2θ/deg	d/Å	I (rel.)
1 0 0	11.93	7.418	18.3
2 0 1	29.71	3.007	100.0
2 1 0	31.92	2.804	31.1
0 0 2	34.93	2.569	35.6
2 1 1	36.51	2.461	60.4
2 1 2	48.04	1.894	19.9

***

Theoretical powder diffractogram
Compound: ThSc3In4
Radiation: Cu Kα (weighted mean of Kα1 and Kα2)
Structure: DFT lattice parameters and positions (PBE)
Neutral-atom scattering factors, no anomalous dispersion.

a = 10.380 Å, b = 6.924 Å, c = 5.435 Å
α = 90.00°, β = 90.00°, γ = 90.00°
Space group Pmma (No. 51)
Inequivalent atoms, fractional coordinates:
Th1 0.000 0.000 0.000
Sc1 0.000 0.500 0.000
Sc2 0.250 0.000 0.405
Sc3 0.250 0.500 0.369
In1 0.000 0.272 0.500
In2 0.250 0.271 0.877

Peak list (6 most intense, 2θ from 10° to 80°, by angle)
hkl	2θ/deg	d/Å	I (rel.)
2 1 1	27.02	3.300	21.3
0 0 2	32.96	2.718	15.7
4 0 0	34.56	2.595	34.4
2 2 1	35.27	2.545	100.0
2 0 2	37.35	2.408	18.9
6 2 1	62.39	1.488	19.3

***

Theoretical powder diffractogram
Compound: TbDyTl4
Radiation: Cu Kα (weighted mean of Kα1 and Kα2)
Structure: DFT lattice parameters and positions (PBE)
Neutral-atom scattering factors, no anomalous dispersion.

a = 7.101 Å, b = 7.113 Å, c = 7.620 Å
α = 90.00°, β = 90.00°, γ = 90.00°
Space group Cmmm (No. 65)
Inequivalent atoms, fractional coordinates:
Tb1 0.000 0.000 0.000
Dy1 0.000 0.500 0.500
Tl1 0.250 0.250 0.251

Peak list (6 most intense, 2θ from 10° to 80°, by angle)
hkl	2θ/deg	d/Å	I (rel.)
1 1 1	21.18	4.195	27.8
2 0 0	25.06	3.553	20.7
2 0 2	34.51	2.599	100.0
2 2 0	35.74	2.513	45.6
2 2 4	61.04	1.518	19.7
4 2 2	63.42	1.467	35.2

***

Theoretical powder diffractogram
Compound: Tl2Ag3PbI8
Radiation: Cu Kα (weighted mean of Kα1 and Kα2)
Structure: DFT lattice parameters and positions (PBE)
Neutral-atom scattering factors, no anomalous dispersion.

a = 9.0949 Å, b = 9.0949 Å, c = 24.2864 Å
α = 90.00°, β = 90.00°, γ = 120.00°
Space group R3m (No. 160, hexagonal axes)
Inequivalent atoms, fractional coordinates:
Tl1 0.0000 0.0000 0.0000
Tl2 0.0000 0.0000 0.3664
Ag1 0.1710 0.3419 0.8306
Pb1 0.0000 0.0000 0.6332
I1 0.0000 0.0000 0.2303
I2 0.0000 0.0000 0.7753
I3 0.0106 0.5053 0.7641
I4 0.1687 0.3375 0.5716

Peak list (6 most intense, 2θ from 10° to 80°, by angle)
hkl	2θ/deg	d/Å	I (rel.)
0 1 5	21.49	4.134	39.5
1 1 3	22.42	3.965	81.9
0 2 4	26.99	3.304	85.3
0 2 7	34.45	2.603	49.0
2 0 8	37.40	2.404	80.9
2 2 0	39.64	2.274	100.0

***

Theoretical powder diffractogram
Compound: Cd4In2Ag5
Radiation: Cu Kα (weighted mean of Kα1 and Kα2)
Structure: DFT lattice parameters and positions (PBE)
Neutral-atom scattering factors, no anomalous dispersion.

a = 7.323 Å, b = 20.288 Å, c = 3.048 Å
α = 90.00°, β = 90.00°, γ = 90.00°
Space group Pbam (No. 55)
Inequivalent atoms, fractional coordinates:
Cd1 0.023 0.127 0.000
Cd2 0.174 0.459 0.000
In1 0.132 0.720 0.000
Ag1 0.000 0.000 0.500
Ag2 0.150 0.589 0.500
Ag3 0.195 0.330 0.500

Peak list (6 most intense, 2θ from 10° to 80°, by angle)
hkl	2θ/deg	d/Å	I (rel.)
1 4 1	36.52	2.461	100.0
3 1 0	37.10	2.423	74.6
1 8 0	37.53	2.396	55.2
1 5 1	38.95	2.312	52.5
2 3 1	40.76	2.214	64.8
2 4 1	42.51	2.127	46.0

***

Theoretical powder diffractogram
Compound: LaEr5Sb6
Radiation: Cu Kα (weighted mean of Kα1 and Kα2)
Structure: DFT lattice parameters and positions (PBE)
Neutral-atom scattering factors, no anomalous dispersion.

a = 7.624 Å, b = 13.209 Å, c = 7.625 Å
α = 90.00°, β = 109.54°, γ = 90.00°
Space group C2/m (No. 12)
Inequivalent atoms, fractional coordinates:
La1 0.000 0.000 0.000
Er1 0.000 0.163 0.500
Er2 0.000 0.332 0.000
Er3 0.000 0.500 0.500
Sb1 0.242 0.500 0.253
Sb2 0.243 0.329 0.743

Peak list (6 most intense, 2θ from 10° to 80°, by angle)
hkl	2θ/deg	d/Å	I (rel.)
2 0 -2	28.68	3.113	100.0
1 3 -3	41.01	2.201	75.9
0 0 4	50.81	1.797	27.0
4 0 -4	59.39	1.556	12.6
3 3 -5	67.26	1.392	34.4
2 0 -6	74.70	1.271	25.3

***

Theoretical powder diffractogram
Compound: ThCN3
Radiation: Cu Kα (weighted mean of Kα1 and Kα2)
Structure: DFT lattice parameters and positions (PBE)
Neutral-atom scattering factors, no anomalous dispersion.

a = 4.473 Å, b = 4.803 Å, c = 6.293 Å
α = 90.00°, β = 109.42°, γ = 90.00°
Space group P2_1/m (No. 11)
Inequivalent atoms, fractional coordinates:
Th1 0.103 0.250 0.272
C1 0.497 0.250 0.758
N1 0.192 0.750 0.124
N2 0.321 0.020 0.674

Peak list (6 most intense, 2θ from 10° to 80°, by angle)
hkl	2θ/deg	d/Å	I (rel.)
1 0 0	21.06	4.218	43.7
0 1 1	23.83	3.734	100.0
1 1 0	28.15	3.169	27.4
1 1 -1	28.42	3.141	80.1
0 0 2	30.12	2.967	43.6
1 1 -3	47.73	1.905	41.0

***

Theoretical powder diffractogram
Compound: NpCu2F11
Radiation: Cu Kα (weighted mean of Kα1 and Kα2)
Structure: DFT lattice parameters and positions (PBE)
Neutral-atom scattering factors, no anomalous dispersion.

a = 7.521 Å, b = 8.551 Å, c = 6.196 Å
α = 90.00°, β = 90.00°, γ = 90.00°
Space group Cmmm (No. 65)
Inequivalent atoms, fractional coordinates:
Np1 0.000 0.000 0.000
Cu1 0.000 0.274 0.500
F1 0.000 0.228 0.194
F2 0.000 0.500 0.500
F3 0.208 0.000 0.201
F4 0.250 0.250 0.500

Peak list (6 most intense, 2θ from 10° to 80°, by angle)
hkl	2θ/deg	d/Å	I (rel.)
1 1 0	15.69	5.648	60.7
1 1 1	21.29	4.174	100.0
2 0 0	23.66	3.761	31.6
0 2 1	25.31	3.519	60.1
2 2 1	34.92	2.569	23.8
1 5 1	57.23	1.610	21.5

***

Theoretical powder diffractogram
Compound: TbDyZnPd
Radiation: Cu Kα (weighted mean of Kα1 and Kα2)
Structure: DFT lattice parameters and positions (PBE)
Neutral-atom scattering factors, no anomalous dispersion.

a = 3.564 Å, b = 3.564 Å, c = 7.006 Å
α = 90.00°, β = 90.00°, γ = 90.00°
Space group P4mm (No. 99)
Inequivalent atoms, fractional coordinates:
Tb1 0.000 0.000 0.000
Dy1 0.000 0.000 0.491
Zn1 0.500 0.500 0.744
Pd1 0.500 0.500 0.248

Peak list (6 most intense, 2θ from 10° to 80°, by angle)
hkl	2θ/deg	d/Å	I (rel.)
1 1 0	35.63	2.520	51.4
1 0 2	35.95	2.498	100.0
2 0 0	51.27	1.782	18.1
2 1 2	64.20	1.451	36.3
1 1 4	64.83	1.438	17.5
2 0 4	76.22	1.249	10.9